# 1
Simulated PXRD pattern of Zn6AgIr for CuKα, from a GGA-PBE-relaxed structure.
Neutral-atom scattering factors, no anomalous dispersion.

Most intense lines, 2θ = 10–90°, by angle:
2θ/deg	d/Å	I (rel.)
24.55	3.626	12
26.21	3.400	14
36.78	2.444	11
38.04	2.366	30
41.30	2.186	41
42.37	2.133	62
43.49	2.081	100
57.39	1.606	18
67.07	1.395	19
76.82	1.241	18
81.90	1.176	26
84.93	1.142	15

Atomic structure:
```
data_Zn6AgIr
_chemical_formula_sum 'Zn6 Ag1 Ir1'
_cell_length_a 4.372
_cell_length_b 5.407
_cell_length_c 4.887
_cell_angle_alpha 90.00
_cell_angle_beta 90.00
_cell_angle_gamma 90.00
_space_group_name_H-M_alt 'P 1'
_space_group_IT_number 1
loop_
_space_group_symop_operation_xyz
'x,y,z'
loop_
_atom_site_label
_atom_site_fract_x
_atom_site_fract_y
_atom_site_fract_z
_atom_site_occupancy
Zn1 0.000 0.000 0.000 1
Zn2 0.000 0.246 0.481 1
Zn3 0.000 0.754 0.481 1
Zn4 0.500 0.237 0.802 1
Zn5 0.500 0.500 0.305 1
Zn6 0.500 0.763 0.802 1
Ag1 0.000 0.500 0.979 1
Ir1 0.500 0.000 0.308 1
```

# 2
Simulated PXRD pattern of FePt6 for CuKα, from a GGA-PBE-relaxed structure.
Neutral-atom scattering factors, no anomalous dispersion.

Most intense lines, 2θ = 10–90°, by angle:
2θ/deg	d/Å	I (rel.)
20.08	4.422	2
23.23	3.830	23
33.08	2.708	19
40.81	2.211	100
47.48	1.915	49
53.50	1.713	10
59.09	1.563	8
69.41	1.354	32
74.30	1.277	5
79.07	1.211	3
83.77	1.155	39
88.43	1.106	12

Atomic structure:
```
data_FePt6
_chemical_formula_sum 'Fe1 Pt6'
_cell_length_a 5.416
_cell_length_b 5.416
_cell_length_c 5.416
_cell_angle_alpha 60.00
_cell_angle_beta 60.00
_cell_angle_gamma 60.00
_space_group_name_H-M_alt 'P 1'
_space_group_IT_number 1
loop_
_space_group_symop_operation_xyz
'x,y,z'
loop_
_atom_site_label
_atom_site_fract_x
_atom_site_fract_y
_atom_site_fract_z
_atom_site_occupancy
Fe1 0.000 0.000 0.000 1
Pt1 0.000 0.000 0.500 1
Pt2 0.000 0.500 0.000 1
Pt3 0.000 0.500 0.500 1
Pt4 0.500 0.000 0.000 1
Pt5 0.500 0.000 0.500 1
Pt6 0.500 0.500 0.000 1
```

# 3
Simulated PXRD pattern of Ga3Pd for CuKα, from a GGA-PBE-relaxed structure.
Neutral-atom scattering factors, no anomalous dispersion.

Most intense lines, 2θ = 10–90°, by angle:
2θ/deg	d/Å	I (rel.)
10.31	8.576	20
22.17	4.010	44
32.42	2.761	36
33.99	2.638	45
35.97	2.497	22
37.92	2.373	31
42.93	2.107	20
43.90	2.062	43
44.37	2.042	100
49.71	1.834	41
74.32	1.276	13
81.03	1.187	13

Atomic structure:
```
data_Ga3Pd
_chemical_formula_sum 'Ga12 Pd4'
_cell_length_a 9.059
_cell_length_b 9.059
_cell_length_c 5.830
_cell_angle_alpha 90.00
_cell_angle_beta 90.00
_cell_angle_gamma 37.59
_space_group_name_H-M_alt 'P 1'
_space_group_IT_number 1
loop_
_space_group_symop_operation_xyz
'x,y,z'
loop_
_atom_site_label
_atom_site_fract_x
_atom_site_fract_y
_atom_site_fract_z
_atom_site_occupancy
Ga1 0.039 0.609 0.215 1
Ga2 0.109 0.539 0.715 1
Ga3 0.159 0.841 0.841 1
Ga4 0.341 0.659 0.341 1
Ga5 0.391 0.961 0.215 1
Ga6 0.461 0.891 0.715 1
Ga7 0.539 0.109 0.285 1
Ga8 0.609 0.039 0.785 1
Ga9 0.659 0.341 0.659 1
Ga10 0.841 0.159 0.159 1
Ga11 0.891 0.461 0.285 1
Ga12 0.961 0.391 0.785 1
Pd1 0.084 0.084 0.500 1
Pd2 0.416 0.416 0.000 1
Pd3 0.584 0.584 0.000 1
Pd4 0.916 0.916 0.500 1
```

# 4
Simulated PXRD pattern of Fe3W10C3 for CuKα, from a GGA-PBE-relaxed structure.
Neutral-atom scattering factors, no anomalous dispersion.

Most intense lines, 2θ = 10–90°, by angle:
2θ/deg	d/Å	I (rel.)
13.02	6.799	34
34.92	2.570	40
35.88	2.503	47
39.77	2.266	21
41.38	2.182	72
41.66	2.168	100
42.85	2.110	64
46.26	1.963	13
69.67	1.350	23
71.77	1.315	28
72.20	1.308	23
73.49	1.289	18

Atomic structure:
```
data_Fe3W10C3
_chemical_formula_sum 'Fe6 W20 C6'
_cell_length_a 7.851
_cell_length_b 7.851
_cell_length_c 8.075
_cell_angle_alpha 90.00
_cell_angle_beta 90.00
_cell_angle_gamma 120.00
_space_group_name_H-M_alt 'P 1'
_space_group_IT_number 1
loop_
_space_group_symop_operation_xyz
'x,y,z'
loop_
_atom_site_label
_atom_site_fract_x
_atom_site_fract_y
_atom_site_fract_z
_atom_site_occupancy
Fe1 0.095 0.548 0.250 1
Fe2 0.452 0.548 0.250 1
Fe3 0.452 0.905 0.250 1
Fe4 0.548 0.095 0.750 1
Fe5 0.548 0.452 0.750 1
Fe6 0.905 0.452 0.750 1
W1 0.000 0.000 0.000 1
W2 0.000 0.000 0.500 1
W3 0.122 0.243 0.250 1
W4 0.122 0.878 0.250 1
W5 0.210 0.420 0.568 1
W6 0.210 0.420 0.932 1
W7 0.210 0.790 0.568 1
W8 0.210 0.790 0.932 1
W9 0.243 0.122 0.750 1
W10 0.420 0.210 0.068 1
W11 0.420 0.210 0.432 1
W12 0.580 0.790 0.568 1
W13 0.580 0.790 0.932 1
W14 0.757 0.878 0.250 1
W15 0.790 0.210 0.068 1
W16 0.790 0.210 0.432 1
W17 0.790 0.580 0.068 1
W18 0.790 0.580 0.432 1
W19 0.878 0.122 0.750 1
W20 0.878 0.757 0.750 1
C1 0.000 0.500 0.000 1
C2 0.000 0.500 0.500 1
C3 0.500 0.000 0.000 1
C4 0.500 0.000 0.500 1
C5 0.500 0.500 0.000 1
C6 0.500 0.500 0.500 1
```

# 5
Simulated PXRD pattern of AgTe for CuKα, from a GGA-PBE-relaxed structure.
Neutral-atom scattering factors, no anomalous dispersion.

Most intense lines, 2θ = 10–90°, by angle:
2θ/deg	d/Å	I (rel.)
22.81	3.899	82
23.56	3.776	28
24.20	3.677	78
25.78	3.456	24
27.92	3.196	88
31.92	2.803	30
39.58	2.277	79
39.95	2.257	24
40.97	2.203	100
42.91	2.108	26
44.10	2.054	61
49.14	1.854	36

Atomic structure:
```
data_AgTe
_chemical_formula_sum 'Ag6 Te6'
_cell_length_a 4.696
_cell_length_b 4.696
_cell_length_c 19.176
_cell_angle_alpha 90.00
_cell_angle_beta 90.00
_cell_angle_gamma 122.02
_space_group_name_H-M_alt 'P 1'
_space_group_IT_number 1
loop_
_space_group_symop_operation_xyz
'x,y,z'
loop_
_atom_site_label
_atom_site_fract_x
_atom_site_fract_y
_atom_site_fract_z
_atom_site_occupancy
Ag1 0.063 0.937 0.750 1
Ag2 0.129 0.871 0.112 1
Ag3 0.129 0.871 0.388 1
Ag4 0.871 0.129 0.612 1
Ag5 0.871 0.129 0.888 1
Ag6 0.937 0.063 0.250 1
Te1 0.264 0.736 0.250 1
Te2 0.463 0.537 0.071 1
Te3 0.463 0.537 0.429 1
Te4 0.537 0.463 0.571 1
Te5 0.537 0.463 0.929 1
Te6 0.736 0.264 0.750 1
```

Q: Number 5 is which compound?
A: AgTe